This entry pairs a crystal structure of Cs2MnI5 with its theoretical powder X-ray diffraction pattern. Radiation: copper Kα. Structure: a DFT-relaxed cell (GGA-PBE, Alexandria).
No peak broadening, texture or thermal motion is included.

Crystal structure
Cell: 8.1979 8.1979 5.8261 Å, 90.00 90.00 90.00°
Space group P4/mmm (No. 123)
Asymmetric unit:
1 Cs 0.0000 0.5000 0.0000
2 Mn 0.0000 0.0000 0.5000
3 I 0.0000 0.0000 0.0000
4 I 0.2375 0.2375 0.5000

Main lines, sorted by position (2θ = 15–90°):
2θ/deg, d (Å), I/Imax, h k l
26.59, 3.352, 1000, 2 0 1
30.69, 2.913, 226, 0 0 2
30.85, 2.898, 434, 2 2 0
44.07, 2.055, 319, 2 2 2
52.32, 1.749, 285, 4 2 1
54.76, 1.676, 162, 4 0 2


This entry pairs a crystal structure of CsMn2NiI8 with its theoretical powder X-ray diffraction pattern. Radiation: copper Kα. Structure: a DFT-relaxed cell (GGA-PBE, Alexandria).
No peak broadening, texture or thermal motion is included.

Crystal structure
Cell: 7.1549 7.1549 33.9378 Å, 90.00 90.00 120.00°
Space group R32 (No. 155, hexagonal axes)
Asymmetric unit:
1 Cs 0.0000 0.0000 0.0000
2 Mn 0.0000 0.0000 0.2419
3 Ni 0.0000 0.0000 0.5000
4 I 0.0000 0.0000 0.3189
5 I 0.0062 0.3042 0.5544

Main lines, sorted by position (2θ = 15–90°):
2θ/deg, d (Å), I/Imax, h k l
23.59, 3.771, 702, 0 0 9
24.89, 3.577, 740, 1 1 0
26.13, 3.411, 1000, 1 1 3
29.54, 3.023, 667, 1 1 6
34.56, 2.595, 571, 1 1 9
43.83, 2.065, 546, 3 0 0